The following is a calculated powder XRD pattern of NaI2O5. It was derived from a GGA-PBE-relaxed structure, using Cu Kα.
Intensities are scaled so that the largest is 100.

Peak list (8 most intense, 5 to 70 degrees two-theta, by angle)
d_spacing, 2θ/deg, I_rel, index
5.692, 15.57, 16, 0 2 0
3.829, 23.23, 100, 1 2 1
3.495, 25.48, 24, 0 0 2
3.404, 26.18, 27, 1 3 0
3.232, 27.60, 67, 2 1 1
2.077, 43.59, 18, 1 2 3
1.887, 48.23, 21, 2 5 1
1.816, 50.24, 20, 3 3 2

Structure:
```
data_NaI2O5
_chemical_formula_sum 'Na4 I8 O20'
_symmetry_space_group_name_H-M 'P b c n'
_symmetry_Int_Tables_number 60
_symmetry_space_group_name_Hall '-P 2n 2ab'
_cell_length_a 7.6958
_cell_length_b 11.3847
_cell_length_c 6.9908
_cell_angle_alpha 90.00
_cell_angle_beta 90.00
_cell_angle_gamma 90.00
loop_
_atom_site_label
_atom_site_type_symbol
_atom_site_fract_x
_atom_site_fract_y
_atom_site_fract_z
Na1 Na 0.0000 0.0486 0.2500
I1 I 0.1476 0.3384 0.0269
O1 O 0.0000 0.4065 0.2500
O2 O 0.1519 0.0770 0.5379
O3 O 0.2133 0.2081 0.1635
```


The following is a calculated powder XRD pattern of Y2NbRe3. It was derived from a GGA-PBE-relaxed structure, using Cu Kα.
Intensities are scaled so that the largest is 100.

Peak list (8 most intense, 5 to 70 degrees two-theta, by angle)
d_spacing, 2θ/deg, I_rel, index
4.567, 19.44, 53, 0 0 3
2.369, 37.97, 49, 0 1 5
2.340, 38.48, 86, 1 1 3
2.325, 38.73, 91, 0 2 1
2.283, 39.47, 33, 0 0 6
2.231, 40.44, 100, 2 0 2
1.943, 46.75, 34, 0 2 4
1.386, 67.60, 35, 2 0 8

Structure:
```
data_Y2NbRe3
_chemical_formula_sum 'Y6 Nb3 Re9'
_symmetry_space_group_name_H-M 'R -3 m'
_symmetry_Int_Tables_number 166
_symmetry_space_group_name_Hall '-R 3 2"'
_cell_length_a 5.4486
_cell_length_b 5.4486
_cell_length_c 13.6997
_cell_angle_alpha 90.00
_cell_angle_beta 90.00
_cell_angle_gamma 120.00
loop_
_atom_site_label
_atom_site_type_symbol
_atom_site_fract_x
_atom_site_fract_y
_atom_site_fract_z
Y1 Y 0.0000 0.0000 0.1224
Nb1 Nb 0.0000 0.0000 0.5000
Re1 Re 0.0000 0.5000 0.0000
```